1.
For Mg2Si, a structure optimized by DFT (PBE) gives the theoretical powder X-ray diffraction pattern in this record (Cu Kα).
No peak broadening, texture or thermal motion is included.

Main lines, by intensity (15° ≤ 2θ ≤ 90°):
2θ/deg, Rel. int.
38.4, 100
38.5, 77
28.4, 51
29.6, 50
34.2, 49
42.6, 45

Crystal structure
```
Mg2Si
1.0
6.031 0.000 0.000
0.000 5.964 0.000
-2.987 0.000 7.022
Mg Si
8 4
Direct
0.015 0.000 0.081
0.183 0.581 0.355
0.247 0.085 0.503
0.418 0.118 0.934
0.582 0.618 0.066
0.753 0.585 0.497
0.817 0.081 0.645
0.985 0.500 0.919
0.210 0.734 0.722
0.499 0.938 0.295
0.501 0.438 0.705
0.790 0.234 0.278
```

2.
For EuGa8Rh2, a structure optimized by DFT (PBE) gives the theoretical powder X-ray diffraction pattern in this record (Cu Kα).
No peak broadening, texture or thermal motion is included.

Main lines, by intensity (15° ≤ 2θ ≤ 90°):
2θ/deg, Rel. int.
43.4, 100
35.3, 96
33.2, 72
43.2, 68
45.4, 34
36.0, 32

Crystal structure
```
EuGa8Rh2
1.0
12.739 0.000 0.000
0.000 14.713 0.000
0.000 0.000 4.167
Eu Ga Rh
4 32 8
Direct
0.158 0.181 0.000
0.342 0.681 0.000
0.658 0.319 0.000
0.842 0.819 0.000
0.000 0.000 0.000
0.000 0.500 0.500
0.021 0.867 0.500
0.050 0.315 0.500
0.099 0.749 0.000
0.160 0.457 0.000
0.166 0.623 0.500
0.170 0.013 0.500
0.241 0.824 0.500
0.259 0.324 0.500
0.330 0.513 0.500
0.334 0.123 0.500
0.340 0.957 0.000
0.401 0.249 0.000
0.450 0.815 0.500
0.479 0.367 0.500
0.500 0.000 0.500
0.500 0.500 0.000
0.521 0.633 0.500
0.550 0.185 0.500
0.599 0.751 0.000
0.660 0.043 0.000
0.666 0.877 0.500
0.670 0.487 0.500
0.741 0.676 0.500
0.759 0.176 0.500
0.830 0.987 0.500
0.834 0.377 0.500
0.840 0.543 0.000
0.901 0.251 0.000
0.950 0.685 0.500
0.979 0.133 0.500
0.035 0.596 0.000
0.155 0.905 0.000
0.345 0.405 0.000
0.465 0.096 0.000
0.535 0.904 0.000
0.655 0.595 0.000
0.845 0.095 0.000
0.965 0.404 0.000
```